Starting from a structure optimized by DFT (PBE), the X-ray powder pattern of Ho3PaCo3 was computed for Cu Kα.
Peak positions follow from Bragg's law for the DFT cell and can differ from measured ones.

Structural model:
```
data_Ho3PaCo3
_chemical_formula_sum 'Ho12 Pa4 Co12'
_space_group_name_H-M_alt 'C 1 2/m 1'
_space_group_IT_number 12
_cell_length_a 12.1917
_cell_length_b 3.6896
_cell_length_c 14.3983
_cell_angle_alpha 90.00
_cell_angle_beta 114.91
_cell_angle_gamma 90.00
loop_
_space_group_symop_operation_xyz
'x,y,z'
'-x,-y,-z'
'-x,y,-z'
'x,-y,z'
'x+1/2,y+1/2,z'
'-x+1/2,-y+1/2,-z'
'-x+1/2,y+1/2,-z'
'x+1/2,-y+1/2,z'
loop_
_atom_site_label
_atom_site_type_symbol
_atom_site_fract_x
_atom_site_fract_y
_atom_site_fract_z
Ho1 Ho 0.0177 0.0000 0.1348
Ho2 Ho 0.0927 0.0000 0.4218
Ho3 Ho 0.2303 0.0000 0.6941
Pa1 Pa 0.2192 0.5000 0.8906
Co1 Co 0.0632 0.5000 0.7378
Co2 Co 0.0886 0.5000 0.5695
Co3 Co 0.1250 0.5000 0.0370
```

Main lines, in order of rising 2θ (2θ = 10–90°):
2θ = 27.28°, intensity 48, (0 0 4)
2θ = 32.97°, intensity 92, (3 1 -1)
2θ = 34.39°, intensity 39, (0 0 5)
2θ = 34.98°, intensity 100, (1 1 3)
2θ = 36.01°, intensity 42, (4 0 -5)
2θ = 40.91°, intensity 41, (3 1 2)